Starting from a crystal structure in Alexandria, relaxed with GGA-PBE, the X-ray powder pattern of ZnIn3Pt12 was calculated for a wavelength of 1.5418 Å.

Top 6 peaks for 2θ = 10–90°, sorted by position:
38.80°, rel. 100; 44.97°, rel. 33; 45.36°, rel. 16; 65.79°, rel. 21; 78.80°, rel. 26; 79.36°, rel. 12

Cell and atoms:
Lattice parameters (Å, degrees): 4.031 4.031 15.995 90.00 90.00 90.00
Atoms (fractional coordinates):
Zn1 0.000 0.000 0.000
In1 0.000 0.000 0.245
In2 0.000 0.000 0.500
In3 0.000 0.000 0.755
Pt1 0.000 0.500 0.118
Pt2 0.000 0.500 0.373
Pt3 0.000 0.500 0.627
Pt4 0.000 0.500 0.882
Pt5 0.500 0.000 0.118
Pt6 0.500 0.000 0.373
Pt7 0.500 0.000 0.627
Pt8 0.500 0.000 0.882
Pt9 0.500 0.500 0.000
Pt10 0.500 0.500 0.246
Pt11 0.500 0.500 0.500
Pt12 0.500 0.500 0.754

Starting from a crystal structure in Alexandria, relaxed with GGA-PBE, the X-ray powder pattern of ZrInPt4 was calculated for a wavelength of 1.5418 Å.

Top 6 peaks for 2θ = 10–90°, sorted by position:
39.20°, rel. 100; 39.87°, rel. 88; 42.78°, rel. 59; 44.91°, rel. 34; 63.76°, rel. 36; 76.82°, rel. 26

Cell and atoms:
Lattice parameters (Å, degrees): 9.765 9.765 5.652 90.00 90.00 156.14
Atoms (fractional coordinates):
Zr1 0.079 0.921 0.750
Zr2 0.921 0.079 0.250
In1 0.229 0.771 0.250
In2 0.771 0.229 0.750
Pt1 0.072 0.928 0.250
Pt2 0.351 0.649 0.502
Pt3 0.351 0.649 0.998
Pt4 0.500 0.500 0.000
Pt5 0.500 0.500 0.500
Pt6 0.649 0.351 0.002
Pt7 0.649 0.351 0.498
Pt8 0.928 0.072 0.750

Starting from a crystal structure in Alexandria, relaxed with GGA-PBE, the X-ray powder pattern of ZrInPt was calculated for a wavelength of 1.5418 Å.

Top 6 peaks for 2θ = 10–90°, sorted by position:
34.32°, rel. 100; 36.92°, rel. 74; 37.06°, rel. 47; 40.13°, rel. 70; 40.59°, rel. 57; 40.89°, rel. 89

Cell and atoms:
Lattice parameters (Å, degrees): 13.335 3.565 7.627 90.00 90.00 90.00
Atoms (fractional coordinates):
Zr1 0.053 0.000 0.215
Zr2 0.250 0.000 0.823
Zr3 0.447 0.000 0.215
Zr4 0.553 0.000 0.785
Zr5 0.750 0.000 0.177
Zr6 0.947 0.000 0.785
In1 0.107 0.500 0.560
In2 0.250 0.500 0.166
In3 0.393 0.500 0.560
In4 0.607 0.500 0.440
In5 0.750 0.500 0.834
In6 0.893 0.500 0.440
Pt1 0.094 0.500 0.925
Pt2 0.250 0.000 0.439
Pt3 0.406 0.500 0.925
Pt4 0.594 0.500 0.075
Pt5 0.750 0.000 0.561
Pt6 0.906 0.500 0.075

Starting from a crystal structure in Alexandria, relaxed with GGA-PBE, the X-ray powder pattern of Pu3In5 was calculated for a wavelength of 1.5418 Å.

Top 6 peaks for 2θ = 10–90°, sorted by position:
33.30°, rel. 100; 37.24°, rel. 19; 39.07°, rel. 16; 39.58°, rel. 16; 64.65°, rel. 15; 67.83°, rel. 13

Cell and atoms:
Lattice parameters (Å, degrees): 6.677 6.677 4.554 90.00 90.00 92.65
Atoms (fractional coordinates):
Pu1 0.000 0.000 0.000
Pu2 0.240 0.240 0.500
Pu3 0.760 0.760 0.500
In1 0.000 0.500 0.000
In2 0.255 0.745 0.500
In3 0.500 0.000 0.000
In4 0.500 0.500 0.000
In5 0.745 0.255 0.500

Starting from a crystal structure in Alexandria, relaxed with GGA-PBE, the X-ray powder pattern of PuIn3 was calculated for a wavelength of 1.5418 Å.

Top 6 peaks for 2θ = 10–90°, sorted by position:
32.96°, rel. 100; 37.57°, rel. 18; 38.57°, rel. 33; 54.95°, rel. 23; 64.90°, rel. 14; 66.26°, rel. 27

Cell and atoms:
Lattice parameters (Å, degrees): 5.815 5.815 5.815 132.67 132.67 69.17
Atoms (fractional coordinates):
Pu1 0.000 0.000 0.000
In1 0.250 0.750 0.500
In2 0.500 0.500 0.000
In3 0.750 0.250 0.500

Starting from a crystal structure in Alexandria, relaxed with GGA-PBE, the X-ray powder pattern of Pu4In3 was calculated for a wavelength of 1.5418 Å.

Top 6 peaks for 2θ = 10–90°, sorted by position:
29.62°, rel. 77; 33.38°, rel. 58; 34.34°, rel. 27; 34.99°, rel. 100; 37.68°, rel. 41; 56.09°, rel. 53

Cell and atoms:
Lattice parameters (Å, degrees): 6.031 6.031 5.887 90.00 90.00 120.00
Atoms (fractional coordinates):
Pu1 0.000 0.000 0.249
Pu2 0.000 0.000 0.751
Pu3 0.333 0.667 0.000
Pu4 0.667 0.333 0.000
In1 0.000 0.500 0.500
In2 0.500 0.000 0.500
In3 0.500 0.500 0.500

Starting from a crystal structure in Alexandria, relaxed with GGA-PBE, the X-ray powder pattern of Pu3In2 was calculated for a wavelength of 1.5418 Å.

Top 6 peaks for 2θ = 10–90°, sorted by position:
21.73°, rel. 63; 33.87°, rel. 69; 34.74°, rel. 54; 35.39°, rel. 100; 36.62°, rel. 29; 37.48°, rel. 71

Cell and atoms:
Lattice parameters (Å, degrees): 5.388 5.388 9.816 90.00 90.00 113.28
Atoms (fractional coordinates):
Pu1 0.000 0.000 0.000
Pu2 0.133 0.367 0.250
Pu3 0.367 0.133 0.750
Pu4 0.500 0.500 0.500
Pu5 0.633 0.867 0.250
Pu6 0.867 0.633 0.750
In1 0.148 0.852 0.435
In2 0.352 0.648 0.935
In3 0.648 0.352 0.065
In4 0.852 0.148 0.565

Starting from a crystal structure in Alexandria, relaxed with GGA-PBE, the X-ray powder pattern of Pu3In7Rh4 was calculated for a wavelength of 1.5418 Å.

Top 6 peaks for 2θ = 10–90°, sorted by position:
31.89°, rel. 100; 33.22°, rel. 45; 34.77°, rel. 64; 34.93°, rel. 59; 38.27°, rel. 65; 42.66°, rel. 66

Cell and atoms:
Lattice parameters (Å, degrees): 4.239 8.447 9.633 103.97 102.70 104.28
Atoms (fractional coordinates):
Pu1 0.000 0.000 0.000
Pu2 0.015 0.321 0.710
Pu3 0.985 0.679 0.290
In1 0.229 0.739 0.720
In2 0.271 0.104 0.437
In3 0.339 0.660 0.018
In4 0.500 0.500 0.500
In5 0.661 0.340 0.982
In6 0.729 0.896 0.563
In7 0.771 0.261 0.280
Rh1 0.302 0.422 0.184
Rh2 0.399 0.073 0.729
Rh3 0.601 0.927 0.271
Rh4 0.698 0.578 0.816

Starting from a crystal structure in Alexandria, relaxed with GGA-PBE, the X-ray powder pattern of PuIn2Rh2 was calculated for a wavelength of 1.5418 Å.

Top 6 peaks for 2θ = 10–90°, sorted by position:
20.73°, rel. 18; 27.23°, rel. 18; 37.83°, rel. 27; 38.78°, rel. 100; 39.91°, rel. 24; 68.95°, rel. 18

Cell and atoms:
Lattice parameters (Å, degrees): 4.518 4.756 9.877 90.00 90.00 90.00
Atoms (fractional coordinates):
Pu1 0.250 0.250 0.172
Pu2 0.750 0.750 0.828
In1 0.250 0.250 0.515
In2 0.250 0.250 0.824
In3 0.750 0.750 0.176
In4 0.750 0.750 0.485
Rh1 0.250 0.750 0.663
Rh2 0.250 0.750 0.997
Rh3 0.750 0.250 0.003
Rh4 0.750 0.250 0.337

Starting from a crystal structure in Alexandria, relaxed with GGA-PBE, the X-ray powder pattern of Pu12InRh7 was calculated for a wavelength of 1.5418 Å.

Top 6 peaks for 2θ = 10–90°, sorted by position:
17.36°, rel. 34; 36.08°, rel. 20; 37.39°, rel. 100; 39.65°, rel. 35; 40.30°, rel. 39; 42.74°, rel. 22

Cell and atoms:
Lattice parameters (Å, degrees): 7.136 7.136 7.136 91.45 91.45 91.45
Atoms (fractional coordinates):
Pu1 0.134 0.638 0.459
Pu2 0.162 0.283 0.721
Pu3 0.279 0.838 0.717
Pu4 0.283 0.721 0.162
Pu5 0.362 0.541 0.866
Pu6 0.459 0.134 0.638
Pu7 0.541 0.866 0.362
Pu8 0.638 0.459 0.134
Pu9 0.717 0.279 0.838
Pu10 0.721 0.162 0.283
Pu11 0.838 0.717 0.279
Pu12 0.866 0.362 0.541
In1 0.000 0.000 0.000
Rh1 0.063 0.370 0.131
Rh2 0.131 0.063 0.370
Rh3 0.370 0.131 0.063
Rh4 0.500 0.500 0.500
Rh5 0.630 0.869 0.937
Rh6 0.869 0.937 0.630
Rh7 0.937 0.630 0.869

Starting from a crystal structure in Alexandria, relaxed with GGA-PBE, the X-ray powder pattern of Pu3InRh3 was calculated for a wavelength of 1.5418 Å.

Top 6 peaks for 2θ = 10–90°, sorted by position:
29.56°, rel. 39; 32.43°, rel. 41; 33.53°, rel. 79; 34.63°, rel. 100; 39.37°, rel. 77; 39.67°, rel. 59

Cell and atoms:
Lattice parameters (Å, degrees): 5.452 5.452 13.299 90.00 90.00 130.74
Atoms (fractional coordinates):
Pu1 0.035 0.965 0.750
Pu2 0.307 0.693 0.610
Pu3 0.307 0.693 0.890
Pu4 0.693 0.307 0.110
Pu5 0.693 0.307 0.390
Pu6 0.965 0.035 0.250
In1 0.000 0.000 0.000
In2 0.000 0.000 0.500
Rh1 0.234 0.766 0.250
Rh2 0.400 0.600 0.090
Rh3 0.400 0.600 0.410
Rh4 0.600 0.400 0.590
Rh5 0.600 0.400 0.910
Rh6 0.766 0.234 0.750

Starting from a crystal structure in Alexandria, relaxed with GGA-PBE, the X-ray powder pattern of Pu4InRh2 was calculated for a wavelength of 1.5418 Å.

Top 6 peaks for 2θ = 10–90°, sorted by position:
25.16°, rel. 14; 36.27°, rel. 100; 44.66°, rel. 19; 52.24°, rel. 14; 65.26°, rel. 27; 88.23°, rel. 8

Cell and atoms:
Lattice parameters (Å, degrees): 7.635 7.635 7.635 37.85 37.85 37.85
Atoms (fractional coordinates):
Pu1 0.072 0.072 0.072
Pu2 0.238 0.238 0.238
Pu3 0.762 0.762 0.762
Pu4 0.928 0.928 0.928
In1 0.500 0.500 0.500
Rh1 0.366 0.366 0.366
Rh2 0.634 0.634 0.634